Sr8MgMn6O20: computed powder diffraction line list (Cu Kα), based on a PBE+U-relaxed structure.
Kinematic intensities with the Lorentz-polarization factor, no thermal factor.

a = 5.533 Å, b = 6.653 Å, c = 14.257 Å
α = 93.98°, β = 90.30°, γ = 113.37°
Sites, in units of the cell vectors:
Sr 0.000 0.000 0.000
Sr 0.023 0.026 0.440
Sr 0.235 0.455 0.194
Sr 0.311 0.609 0.459
Sr 0.523 0.041 0.235
Sr 0.566 0.045 0.649
Sr 0.723 0.427 0.990
Sr 0.852 0.626 0.705
Mg 0.431 0.935 0.846
Mn 0.176 0.284 0.660
Mn 0.269 0.458 0.839
Mn 0.364 0.718 0.003
Mn 0.672 0.316 0.478
Mn 0.769 0.529 0.329
Mn 0.888 0.766 0.188
O 0.029 0.064 0.183
O 0.029 0.981 0.627
O 0.106 0.746 0.294
O 0.117 0.691 0.900
O 0.127 0.734 0.098
O 0.202 0.397 0.999
O 0.382 0.705 0.728
O 0.419 0.235 0.803
O 0.433 0.322 0.366
O 0.472 0.373 0.579
O 0.517 0.009 0.477
O 0.522 0.029 0.987
O 0.585 0.688 0.903
O 0.620 0.724 0.096
O 0.649 0.748 0.291
O 0.726 0.431 0.196
O 0.819 0.632 0.458
O 0.894 0.317 0.368
O 0.950 0.357 0.565
O 0.957 0.289 0.764

Principal peaks in the range 2θ from 10° to 90°, low angle first:
- (0 0 4), 2θ 25.06, rel. 51
- (1 1 -2), 2θ 29.04, rel. 48
- (1 -2 2), 2θ 29.59, rel. 57
- (1 1 2), 2θ 30.57, rel. 55
- (-1 2 2), 2θ 31.01, rel. 44
- (2 -1 0), 2θ 32.37, rel. 100
- (0 1 5), 2θ 35.89, rel. 34
- (2 -1 4), 2θ 41.45, rel. 34